(1)
Simulated powder diffraction line list
Compound: Ac3Pm2HoSe6
Radiation: Cu Kα (weighted mean of Kα1 and Kα2)
Structure: the PBE geometry in Alexandria
Lines closer than 0.1° are merged.

Structural model:
a b c (Å): 7.351 12.774 7.626
angles (deg): 90.00 108.85 90.00
Space group C2/m (No. 12)
Inequivalent atoms, fractional coordinates:
Ac1 0.000 0.000 0.000 x2
Ac2 0.000 0.330 0.000 x4
Pm1 0.000 0.167 0.500 x4
Ho1 0.000 0.500 0.500 x2
Se1 0.237 0.337 0.725 x8
Se2 0.248 0.500 0.270 x4

Main lines, by angle (10° ≤ 2θ ≤ 80°):
| two_theta | I_rel | index |
| --- | --- | --- |
| 24.7 | 13 | 0 0 2 |
| 25.6 | 34 | 2 0 0 |
| 29.3 | 100 | 1 3 1 |
| 29.3 | 50 | 2 0 -2 |
| 41.4 | 57 | 2 0 2 |
| 42.5 | 18 | 0 6 0 |
| 42.6 | 37 | 3 3 -1 |
| 52.5 | 20 | 2 6 -2 |
| 60.9 | 18 | 4 0 -4 |
| 69.8 | 17 | 5 3 -3 |


(2)
Simulated powder diffraction line list
Compound: CeSm3As3
Radiation: Cu Kα (weighted mean of Kα1 and Kα2)
Structure: the PBE geometry in Alexandria
Lines closer than 0.1° are merged.

Structural model:
a b c (Å): 8.921 8.921 8.921
angles (deg): 90.00 90.00 90.00
Space group P2_13 (No. 198)
Inequivalent atoms, fractional coordinates:
Ce1 0.068 0.432 0.568 x4
Sm1 0.068 0.568 0.932 x4
Sm2 0.183 0.183 0.183 x4
Sm3 0.184 0.816 0.316 x4
As1 0.001 0.750 0.623 x12

Main lines, by angle (10° ≤ 2θ ≤ 80°):
| two_theta | I_rel | index |
| --- | --- | --- |
| 24.4 | 10 | 2 1 1 |
| 28.3 | 14 | 2 2 0 |
| 31.7 | 100 | 3 1 0 |
| 37.7 | 62 | 3 2 1 |
| 50.1 | 19 | 4 2 2 |
| 52.3 | 32 | 4 1 3 |
| 64.4 | 22 | 6 1 1 |
| 66.3 | 12 | 6 2 0 |
| 68.1 | 14 | 5 1 4 |
| 78.8 | 14 | 7 1 2 |